(1)
InAg2P2O6: theoretical powder XRD pattern (λ = 1.5418 Å (Cu Kα)), based on a DFT-relaxed cell (GGA-PBE, Alexandria).
Neutral-atom scattering factors, no anomalous dispersion.

Principal peaks in the range 2θ = 10–90°, by angle:
d_spacing  Rel. int.
3.753  100.0
2.787  38.6
2.537  49.0
2.109  35.4
2.102  22.2
2.075  20.1
1.619  18.6
1.367  15.4

Crystal structure
abc: 5.075 5.075 7.210
angles: 90.00 90.00 120.00
Element x y z (fractional)
In 0.000 0.000 0.000
Ag 0.333 0.667 0.422
Ag 0.667 0.333 0.578
P 0.333 0.667 0.753
P 0.667 0.333 0.247
O 0.049 0.683 0.818
O 0.317 0.367 0.818
O 0.367 0.049 0.182
O 0.633 0.951 0.818
O 0.683 0.633 0.182
O 0.951 0.317 0.182

---

(2)
Dy2AlSn2: theoretical powder XRD pattern (λ = 1.5418 Å (Cu Kα)), based on a DFT-relaxed cell (GGA-PBE, Alexandria).
Neutral-atom scattering factors, no anomalous dispersion.

Principal peaks in the range 2θ = 10–90°, by angle:
d_spacing  Rel. int.
3.760  95.1
2.945  51.3
2.931  52.4
2.785  100.0
2.464  33.8
2.401  65.3
2.368  43.8
1.842  27.9

Crystal structure
abc: 11.140 9.810 6.393
angles: 84.04 61.15 34.81
Element x y z (fractional)
Dy 0.023 0.727 0.023
Dy 0.273 0.977 0.273
Dy 0.727 0.023 0.727
Dy 0.977 0.273 0.977
Al 0.375 0.375 0.375
Al 0.625 0.625 0.625
Sn 0.000 0.500 0.500
Sn 0.500 0.000 0.500
Sn 0.500 0.500 0.000
Sn 0.500 0.500 0.500

---

(3)
Na3Mn2SbTe6: theoretical powder XRD pattern (λ = 1.5418 Å (Cu Kα)), based on a DFT-relaxed cell (GGA-PBE, Alexandria).
Neutral-atom scattering factors, no anomalous dispersion.

Principal peaks in the range 2θ = 10–90°, by angle:
d_spacing  Rel. int.
7.606  33.9
3.455  23.1
3.060  100.0
2.424  16.3
2.244  21.9
2.093  34.1
1.729  11.3
1.332  12.2

Crystal structure
abc: 7.253 7.253 7.988
angles: 98.78 98.78 120.04
Element x y z (fractional)
Na 0.000 0.000 0.000
Na 0.344 0.656 0.000
Na 0.656 0.344 0.000
Mn 0.168 0.832 0.500
Mn 0.832 0.168 0.500
Sb 0.500 0.500 0.500
Te 0.072 0.428 0.288
Te 0.213 0.213 0.709
Te 0.428 0.072 0.288
Te 0.572 0.928 0.712
Te 0.787 0.787 0.291
Te 0.928 0.572 0.712